Calculated powder X-ray diffraction pattern of CaNdGa3O7 for copper Kα, from a GGA-PBE-relaxed structure.
Kinematic intensities with the Lorentz-polarization factor, no thermal factor.

The 6 most intense peaks (2θ = 10–90°), by angle:
| 2theta | intensity |
| --- | --- |
| 11.07 | 32 |
| 30.06 | 52 |
| 30.17 | 46 |
| 30.29 | 100 |
| 35.66 | 29 |
| 50.08 | 30 |

Atomic structure:
```
data_CaNdGa3O7
_chemical_formula_sum 'Ca2 Nd2 Ga6 O14'
_symmetry_space_group_name_H-M 'P 1 21 1'
_symmetry_Int_Tables_number 4
_symmetry_space_group_name_Hall 'P 2yb'
_cell_length_a 5.2974
_cell_length_b 7.9588
_cell_length_c 7.9958
_cell_angle_alpha 90.00
_cell_angle_beta 90.53
_cell_angle_gamma 90.00
loop_
_atom_site_label
_atom_site_fract_x
_atom_site_fract_y
_atom_site_fract_z
_atom_site_occupancy
Ca1 0.0292 0.0000 0.0760 1
Nd1 0.0006 0.6868 0.4060 1
Ga1 0.4636 0.4879 0.6092 1
Ga2 0.4716 0.2016 0.8967 1
Ga3 0.4919 0.3441 0.2608 1
O1 0.1860 0.7012 0.1203 1
O2 0.1934 0.9822 0.3953 1
O3 0.2642 0.4176 0.4213 1
O4 0.2951 0.0112 0.8174 1
O5 0.2969 0.3623 0.7695 1
O6 0.3027 0.6948 0.6246 1
O7 0.3108 0.2303 0.0995 1
```